Theoretical XRD peak list of Rb4Np3InSe8 for Cu Kα (λ = 1.5418 Å), from DFT lattice parameters and positions (PBE).
No peak broadening, texture or thermal motion is included.

Structure:
abc: 8.682 8.682 9.410
angles: 117.49 117.49 59.98
Fractional positions:
Rb 0.000 0.000 0.000
Rb 0.000 0.500 0.000
Rb 0.500 0.000 0.000
Rb 0.500 0.500 0.000
Np 0.000 0.000 0.500
Np 0.000 0.500 0.500
Np 0.500 0.000 0.500
In 0.500 0.500 0.500
Se 0.227 0.733 0.693
Se 0.233 0.233 0.695
Se 0.265 0.265 0.308
Se 0.267 0.773 0.307
Se 0.733 0.227 0.693
Se 0.735 0.735 0.692
Se 0.767 0.767 0.305
Se 0.773 0.267 0.307

Main lines, sorted by position (10 to 80 degrees two-theta):
- 2θ = 11.1°, intensity 42.5
- 2θ = 24.8°, intensity 12.7
- 2θ = 28.0°, intensity 100.0
- 2θ = 35.5°, intensity 15.8
- 2θ = 38.5°, intensity 33.7
- 2θ = 41.6°, intensity 37.3
- 2θ = 50.9°, intensity 19.1
- 2θ = 58.0°, intensity 12.0
- 2θ = 67.8°, intensity 16.2
- 2θ = 73.8°, intensity 15.2

***

Theoretical XRD peak list of MgH2Pd2Au for Cu Kα (λ = 1.5418 Å), from DFT lattice parameters and positions (PBE).
No peak broadening, texture or thermal motion is included.

Structure:
abc: 3.065 3.065 8.929
angles: 90.00 90.00 120.00
Fractional positions:
Mg 0.000 0.000 0.000
H 0.333 0.667 0.820
H 0.667 0.333 0.180
Pd 0.333 0.667 0.238
Pd 0.667 0.333 0.762
Au 0.000 0.000 0.500

Main lines, sorted by position (10 to 80 degrees two-theta):
- 2θ = 30.0°, intensity 15.8
- 2θ = 35.3°, intensity 82.4
- 2θ = 39.5°, intensity 100.0
- 2θ = 40.4°, intensity 26.0
- 2θ = 45.8°, intensity 32.4
- 2θ = 60.4°, intensity 25.1
- 2θ = 62.7°, intensity 17.7
- 2θ = 72.9°, intensity 16.3
- 2θ = 74.6°, intensity 15.4
- 2θ = 75.2°, intensity 24.9

***

Theoretical XRD peak list of Ac3NdS4 for Cu Kα (λ = 1.5418 Å), from DFT lattice parameters and positions (PBE).
No peak broadening, texture or thermal motion is included.

Structure:
abc: 7.386 8.443 7.375
angles: 90.00 109.35 90.00
Fractional positions:
Ac 0.000 0.124 0.250
Ac 0.000 0.374 0.750
Ac 0.000 0.626 0.250
Ac 0.000 0.876 0.750
Ac 0.500 0.373 0.250
Ac 0.500 0.627 0.750
Nd 0.500 0.123 0.750
Nd 0.500 0.877 0.250
S 0.256 0.370 0.505
S 0.256 0.630 0.005
S 0.260 0.120 0.000
S 0.260 0.880 0.500
S 0.740 0.120 0.500
S 0.740 0.880 0.000
S 0.744 0.370 0.995
S 0.744 0.630 0.495

Main lines, sorted by position (10 to 80 degrees two-theta):
- 2θ = 25.6°, intensity 48.5
- 2θ = 25.8°, intensity 47.6
- 2θ = 29.7°, intensity 100.0
- 2θ = 42.4°, intensity 12.7
- 2θ = 42.5°, intensity 50.2
- 2θ = 42.8°, intensity 12.3
- 2θ = 50.2°, intensity 25.4
- 2θ = 50.6°, intensity 16.6
- 2θ = 52.6°, intensity 13.5
- 2θ = 53.0°, intensity 13.2

***

Theoretical XRD peak list of SmScSnPt for Cu Kα (λ = 1.5418 Å), from DFT lattice parameters and positions (PBE).
No peak broadening, texture or thermal motion is included.

Structure:
abc: 5.070 5.070 5.070
angles: 60.00 60.00 60.00
Fractional positions:
Sm 0.000 0.000 0.000
Sc 0.500 0.500 0.500
Sn 0.250 0.250 0.250
Pt 0.750 0.750 0.750

Main lines, sorted by position (10 to 80 degrees two-theta):
- 2θ = 21.5°, intensity 14.2
- 2θ = 24.8°, intensity 6.5
- 2θ = 35.4°, intensity 100.0
- 2θ = 41.8°, intensity 7.9
- 2θ = 50.9°, intensity 17.8
- 2θ = 55.9°, intensity 3.4
- 2θ = 57.5°, intensity 3.1
- 2θ = 63.6°, intensity 36.8
- 2θ = 67.9°, intensity 2.6
- 2θ = 74.9°, intensity 11.5